Structure and calculated powder diffraction line list of PmHfZn4 (a GGA-PBE-relaxed structure; a wavelength of 1.5418 Å).
Intensities are scaled so that the largest is 100.

Main lines, in order of rising 2θ (5° ≤ 2θ ≤ 70°):
- 11.3 deg, d = 7.818 Å, intensity 5
- 22.7 deg, d = 3.909 Å, intensity 11
- 23.0 deg, d = 3.872 Å, intensity 25
- 36.0 deg, d = 2.497 Å, intensity 53
- 36.1 deg, d = 2.487 Å, intensity 100
- 40.1 deg, d = 2.250 Å, intensity 63
- 40.5 deg, d = 2.228 Å, intensity 32
- 46.9 deg, d = 1.936 Å, intensity 3
- 54.8 deg, d = 1.674 Å, intensity 14
- 55.3 deg, d = 1.663 Å, intensity 31
- 56.7 deg, d = 1.623 Å, intensity 12
- 62.0 deg, d = 1.497 Å, intensity 5

Structure:
```
PmHfZn4
1.0
3.2456 0.0000 0.0000
0.0000 4.4565 0.0000
0.0000 0.0000 7.8179
Pm Hf Zn
1 1 4
direct
0.0000 0.0000 0.0000
0.0000 0.5000 0.5000
0.5000 0.0000 0.3443
0.5000 0.0000 0.6557
0.5000 0.5000 0.1839
0.5000 0.5000 0.8161
```

=====

Structure and calculated powder diffraction line list of PmHfZn2 (a GGA-PBE-relaxed structure; a wavelength of 1.5418 Å).
Intensities are scaled so that the largest is 100.

Main lines, in order of rising 2θ (5° ≤ 2θ ≤ 70°):
- 19.9 deg, d = 4.466 Å, intensity 19
- 31.0 deg, d = 2.885 Å, intensity 18
- 33.1 deg, d = 2.703 Å, intensity 100
- 40.4 deg, d = 2.233 Å, intensity 18
- 40.7 deg, d = 2.216 Å, intensity 55
- 45.7 deg, d = 1.985 Å, intensity 7
- 53.7 deg, d = 1.705 Å, intensity 25
- 57.9 deg, d = 1.593 Å, intensity 7
- 63.9 deg, d = 1.457 Å, intensity 13
- 64.6 deg, d = 1.442 Å, intensity 14
- 69.3 deg, d = 1.355 Å, intensity 21
- 69.6 deg, d = 1.351 Å, intensity 11

Structure:
```
PmHfZn2
1.0
1.7055 0.9847 8.9321
-1.7055 0.9847 8.9321
0.0000 -1.9693 8.9321
Pm Hf Zn
1 1 2
direct
0.0000 0.0000 0.0000
0.5000 0.5000 0.5000
0.2429 0.2429 0.2429
0.7571 0.7571 0.7571
```

=====

Structure and calculated powder diffraction line list of PrHf4S8 (a GGA-PBE-relaxed structure; a wavelength of 1.5418 Å).
Intensities are scaled so that the largest is 100.

Main lines, in order of rising 2θ (5° ≤ 2θ ≤ 70°):
- 13.2 deg, d = 6.718 Å, intensity 95
- 26.5 deg, d = 3.359 Å, intensity 17
- 28.8 deg, d = 3.097 Å, intensity 37
- 29.9 deg, d = 2.993 Å, intensity 37
- 33.7 deg, d = 2.661 Å, intensity 100
- 36.3 deg, d = 2.474 Å, intensity 16
- 42.6 deg, d = 2.120 Å, intensity 19
- 46.2 deg, d = 1.964 Å, intensity 39
- 50.4 deg, d = 1.810 Å, intensity 32
- 52.4 deg, d = 1.747 Å, intensity 17
- 57.9 deg, d = 1.593 Å, intensity 13
- 62.0 deg, d = 1.496 Å, intensity 17

Structure:
```
PrHf4S8
1.0
3.6193 2.0896 6.7183
-3.6193 2.0896 6.7183
0.0000 -4.1792 6.7183
Pr Hf S
1 4 8
direct
0.0000 0.0000 0.0000
0.0000 0.0000 0.5000
0.0000 0.5000 0.0000
0.5000 0.0000 0.0000
0.5000 0.5000 0.5000
0.2388 0.2388 0.2388
0.2487 0.7383 0.7383
0.2617 0.2617 0.7513
0.2617 0.7513 0.2617
0.7383 0.2487 0.7383
0.7383 0.7383 0.2487
0.7513 0.2617 0.2617
0.7612 0.7612 0.7612
```

=====

Structure and calculated powder diffraction line list of PrHfSb3 (a GGA-PBE-relaxed structure; a wavelength of 1.5418 Å).
Intensities are scaled so that the largest is 100.

Main lines, in order of rising 2θ (5° ≤ 2θ ≤ 70°):
- 6.5 deg, d = 13.583 Å, intensity 42
- 27.9 deg, d = 3.200 Å, intensity 27
- 30.9 deg, d = 2.895 Å, intensity 100
- 32.0 deg, d = 2.800 Å, intensity 19
- 33.0 deg, d = 2.716 Å, intensity 72
- 34.0 deg, d = 2.636 Å, intensity 27
- 34.3 deg, d = 2.613 Å, intensity 32
- 37.2 deg, d = 2.418 Å, intensity 32
- 39.8 deg, d = 2.263 Å, intensity 58
- 46.8 deg, d = 1.940 Å, intensity 19
- 52.7 deg, d = 1.738 Å, intensity 33
- 66.8 deg, d = 1.400 Å, intensity 37

Structure:
```
PrHfSb3
1.0
13.5830 0.0000 0.0000
0.0000 6.4046 0.0000
0.0000 0.0000 6.3939
Pr Hf Sb
4 4 12
direct
0.1814 0.0105 0.2500
0.1814 0.4895 0.7500
0.8186 0.5105 0.2500
0.8186 0.9895 0.7500
0.4106 0.7500 0.0000
0.4106 0.7500 0.5000
0.5894 0.2500 0.0000
0.5894 0.2500 0.5000
0.0030 0.7500 0.0000
0.0030 0.7500 0.5000
0.2658 0.5093 0.2500
0.2658 0.9907 0.7500
0.4202 0.1220 0.2500
0.4202 0.3780 0.7500
0.5798 0.6220 0.2500
0.5798 0.8780 0.7500
0.7342 0.0093 0.2500
0.7342 0.4907 0.7500
0.9970 0.2500 0.0000
0.9970 0.2500 0.5000
```

=====

Structure and calculated powder diffraction line list of Pr6HfSn10 (a GGA-PBE-relaxed structure; a wavelength of 1.5418 Å).
Intensities are scaled so that the largest is 100.

Main lines, in order of rising 2θ (5° ≤ 2θ ≤ 70°):
- 23.5 deg, d = 3.790 Å, intensity 14
- 28.8 deg, d = 3.098 Å, intensity 12
- 32.2 deg, d = 2.782 Å, intensity 100
- 32.8 deg, d = 2.732 Å, intensity 55
- 34.1 deg, d = 2.630 Å, intensity 87
- 40.7 deg, d = 2.215 Å, intensity 24
- 42.2 deg, d = 2.139 Å, intensity 11
- 48.0 deg, d = 1.895 Å, intensity 23
- 51.1 deg, d = 1.788 Å, intensity 12
- 52.5 deg, d = 1.744 Å, intensity 14
- 64.0 deg, d = 1.455 Å, intensity 15
- 68.5 deg, d = 1.369 Å, intensity 12

Structure:
```
Pr6HfSn10
1.0
9.4638 0.0000 0.0000
-4.7319 8.1959 0.0000
0.0000 0.0000 6.3287
Pr Hf Sn
6 1 10
direct
0.0000 0.3882 0.2611
0.0000 0.6118 0.7389
0.3882 0.0000 0.2611
0.3882 0.3882 0.7389
0.6118 0.0000 0.7389
0.6118 0.6118 0.2611
0.0000 0.0000 0.5000
0.0000 0.2343 0.8004
0.0000 0.7657 0.1996
0.2343 0.0000 0.8004
0.2343 0.2343 0.1996
0.3333 0.6667 0.0000
0.3333 0.6667 0.5000
0.6667 0.3333 0.0000
0.6667 0.3333 0.5000
0.7657 0.0000 0.1996
0.7657 0.7657 0.8004
```

=====

Structure and calculated powder diffraction line list of PrHfZn17 (a GGA-PBE-relaxed structure; a wavelength of 1.5418 Å).
Intensities are scaled so that the largest is 100.

Main lines, in order of rising 2θ (5° ≤ 2θ ≤ 70°):
- 28.6 deg, d = 3.125 Å, intensity 26
- 33.5 deg, d = 2.672 Å, intensity 12
- 34.8 deg, d = 2.580 Å, intensity 40
- 35.9 deg, d = 2.502 Å, intensity 23
- 40.4 deg, d = 2.234 Å, intensity 55
- 40.6 deg, d = 2.222 Å, intensity 100
- 41.3 deg, d = 2.185 Å, intensity 42
- 41.6 deg, d = 2.172 Å, intensity 24
- 45.6 deg, d = 1.990 Å, intensity 25
- 58.6 deg, d = 1.576 Å, intensity 11
- 59.1 deg, d = 1.562 Å, intensity 18
- 66.3 deg, d = 1.410 Å, intensity 15

Structure:
```
PrHfZn17
1.0
4.4687 2.5800 4.3727
-4.4687 2.5800 4.3727
0.0000 -5.1600 4.3727
Pr Hf Zn
1 1 17
direct
0.0000 0.0000 0.0000
0.3343 0.3343 0.3343
0.0270 0.0270 0.4868
0.0270 0.4868 0.0270
0.1561 0.6730 0.6730
0.3160 0.3160 0.8082
0.3160 0.8082 0.3160
0.3692 0.6598 0.9653
0.3692 0.9653 0.6598
0.4868 0.0270 0.0270
0.5585 0.5585 0.5585
0.6598 0.3692 0.9653
0.6598 0.9653 0.3692
0.6730 0.1561 0.6730
0.6730 0.6730 0.1561
0.7576 0.7576 0.7576
0.8082 0.3160 0.3160
0.9653 0.3692 0.6598
0.9653 0.6598 0.3692
```